Starting from a cell relaxed with PBE+U, the powder diffractogram of BaPrEuWO6 was simulated for λ = 1.5418 Å (Cu Kα).
Lines closer than 0.1° are merged.

```
data_BaPrEuWO6
_chemical_formula_sum 'Ba2 Pr2 Eu2 W2 O12'
_cell_length_a 6.019
_cell_length_b 6.091
_cell_length_c 8.619
_cell_angle_alpha 90.31
_cell_angle_beta 90.36
_cell_angle_gamma 90.64
_space_group_name_H-M_alt 'P -1'
_space_group_IT_number 2
loop_
_space_group_symop_operation_xyz
'x,y,z'
'-x,-y,-z'
loop_
_atom_site_label
_atom_site_fract_x
_atom_site_fract_y
_atom_site_fract_z
_atom_site_occupancy
Ba1 0.006 0.033 0.251 1
Pr1 0.000 0.500 0.500 1
Pr2 0.500 0.000 0.000 1
Eu1 0.492 0.539 0.253 1
W1 0.000 0.500 0.000 1
W2 0.500 0.000 0.500 1
O1 0.099 0.508 0.770 1
O2 0.191 0.760 0.042 1
O3 0.232 0.813 0.468 1
O4 0.271 0.309 0.052 1
O5 0.320 0.280 0.450 1
O6 0.437 0.046 0.730 1
```

The 8 most intense peaks (10 to 80 degrees two-theta), sorted by position:
2θ 29.3, I 1000, (1 -1 2); 2θ 29.7, I 485, (2 0 0); 2θ 42.0, I 248, (0 0 4); 2θ 42.5, I 117, (2 2 0); 2θ 51.8, I 102, (0 2 -4); 2θ 52.0, I 147, (2 0 -4); 2θ 52.4, I 154, (3 -1 2); 2θ 60.8, I 99, (2 -2 4)